# 1
This entry pairs a crystal structure of LiTiPCO7 with its theoretical X-ray powder pattern. Radiation: Cu Ka. Structure: a cell relaxed with GGA-PBE.
Kinematic intensities with the Lorentz-polarization factor, no thermal factor.

Top 10 peaks for 10 to 90 degrees two-theta, low angle first:
Position (°2θ)  d_spacing  I/Imax  h k l
10.31  8.579  100  0 0 1
17.40  5.097  72  0 1 1
18.26  4.858  36  1 0 -1
19.21  4.621  37  1 0 1
21.01  4.229  14  1 1 0
23.07  3.855  13  1 1 -1
23.83  3.733  33  1 1 1
25.33  3.516  33  1 0 -2
28.17  3.168  52  0 2 0
31.51  2.839  17  2 0 0

Atomic structure:
Lattice parameters (Å, degrees): 5.6861 6.3364 8.5922 90.00 93.12 90.00
Space group P2_1 (No. 4)
Asymmetric unit:
Li 0.2478 0.0000 0.3348
Ti 0.2137 0.3787 0.8380
P 0.2644 0.8804 0.9563
C 0.2622 0.3406 0.5553
O 0.0577 0.3704 0.6205
O 0.1232 0.8866 0.1058
O 0.2031 0.6838 0.8572
O 0.2039 0.0755 0.8552
O 0.2886 0.2827 0.4208
O 0.4369 0.3724 0.6640
O 0.4700 0.3797 0.9924

---

# 2
This entry pairs a crystal structure of LiTiPCO7 with its theoretical X-ray powder pattern. Radiation: Cu Ka. Structure: a cell relaxed with GGA-PBE.
Kinematic intensities with the Lorentz-polarization factor, no thermal factor.

Top 10 peaks for 10 to 90 degrees two-theta, low angle first:
Position (°2θ)  d_spacing  I/Imax  h k l
10.84  8.165  59  0 0 1
17.53  5.060  32  0 1 1
18.95  4.683  57  1 0 -1
21.50  4.134  82  1 0 1
25.60  3.480  29  1 1 1
25.84  3.447  33  1 0 -2
27.67  3.224  100  0 2 0
34.78  2.579  15  2 0 -1
41.94  2.154  13  1 1 3
57.14  1.612  12  0 4 0

Atomic structure:
Lattice parameters (Å, degrees): 5.2437 6.4477 8.2429 90.00 97.88 90.00
Space group P2_1/m (No. 11)
Asymmetric unit:
Li 0.2453 0.2500 0.0992
Ti 0.2040 0.7500 0.3157
P 0.2494 0.2500 0.4240
C 0.3137 0.7500 0.0347
O 0.0702 0.7500 0.0707
O 0.0808 0.2500 0.5622
O 0.1992 0.0610 0.3084
O 0.3754 0.7500 0.8950
O 0.4650 0.7500 0.4964
O 0.4799 0.7500 0.1702

---

# 3
This entry pairs a crystal structure of Li2TlPCO7 with its theoretical X-ray powder pattern. Radiation: Cu Ka. Structure: a cell relaxed with GGA-PBE.
Kinematic intensities with the Lorentz-polarization factor, no thermal factor.

Top 10 peaks for 10 to 90 degrees two-theta, low angle first:
Position (°2θ)  d_spacing  I/Imax  h k l
16.48  5.379  100  0 1 1
19.67  4.514  49  1 0 -1
20.51  4.330  48  1 0 1
21.96  4.048  89  1 1 0
23.81  3.737  45  0 1 2
25.83  3.449  56  1 0 -2
26.56  3.356  76  0 2 0
27.13  3.287  39  1 0 2
33.27  2.693  26  1 2 -1
37.37  2.407  28  1 2 -2

Atomic structure:
Lattice parameters (Å, degrees): 5.0801 6.7118 9.0021 90.00 92.78 90.00
Space group P2_1/m (No. 11)
Asymmetric unit:
Li 0.2062 0.0043 0.2971
Tl 0.2469 0.2500 0.8658
P 0.2639 0.7500 0.9099
C 0.2599 0.2500 0.5599
O 0.0290 0.2500 0.6179
O 0.1441 0.5678 0.8263
O 0.2016 0.7500 0.0777
O 0.2909 0.2500 0.4201
O 0.4266 0.2500 0.0949
O 0.4702 0.2500 0.6547

---

# 4
This entry pairs a crystal structure of Li3ZnPCO7 with its theoretical X-ray powder pattern. Radiation: Cu Ka. Structure: a cell relaxed with GGA-PBE.
Kinematic intensities with the Lorentz-polarization factor, no thermal factor.

Top 10 peaks for 10 to 90 degrees two-theta, low angle first:
Position (°2θ)  d_spacing  I/Imax  h k l
10.45  8.467  100  0 0 1
17.28  5.132  27  0 1 1
20.48  4.336  38  1 0 -1
21.23  4.184  40  1 0 1
22.71  3.916  25  1 1 0
27.20  3.278  33  1 0 -2
27.65  3.226  89  0 2 0
31.68  2.824  22  0 0 3
36.47  2.463  23  2 0 0
40.00  2.254  32  1 1 3

Atomic structure:
Lattice parameters (Å, degrees): 4.9309 6.4515 8.4741 90.00 92.35 90.00
Space group P2_1/m (No. 11)
Asymmetric unit:
Li 0.2313 0.0173 0.2364
Li 0.2558 0.7500 0.5866
Zn 0.2252 0.2500 0.8535
P 0.2874 0.7500 0.9103
C 0.2709 0.2500 0.5423
O 0.0210 0.2500 0.5823
O 0.1837 0.5622 0.8105
O 0.1864 0.7500 0.0816
O 0.3337 0.2500 0.3943
O 0.3946 0.2500 0.0773
O 0.4664 0.2500 0.6504

---

# 5
This entry pairs a crystal structure of Li3ZnPCO7 with its theoretical X-ray powder pattern. Radiation: Cu Ka. Structure: a cell relaxed with GGA-PBE.
Kinematic intensities with the Lorentz-polarization factor, no thermal factor.

Top 10 peaks for 10 to 90 degrees two-theta, low angle first:
Position (°2θ)  d_spacing  I/Imax  h k l
17.31  5.122  100  1 0 0
20.06  4.427  12  1 0 -1
21.21  4.189  34  0 0 2
27.09  3.291  18  1 0 -2
27.45  3.250  67  0 2 0
27.94  3.194  16  1 0 2
34.57  2.594  13  1 2 1
35.08  2.558  20  2 0 0
39.74  2.268  17  1 1 3
43.15  2.096  23  0 3 1

Atomic structure:
Lattice parameters (Å, degrees): 5.1183 6.4993 8.3828 90.00 91.76 90.00
Space group P2_1 (No. 4)
Asymmetric unit:
Li 0.0403 0.0000 0.0042
Li 0.4386 0.6781 0.8205
Li 0.4434 0.9096 0.4870
Zn 0.0356 0.2323 0.7119
P 0.0387 0.2356 0.3308
C 0.4786 0.7245 0.1364
O 0.0231 0.9266 0.7737
O 0.0865 0.5518 0.7648
O 0.1049 0.7639 0.5087
O 0.2305 0.7491 0.0996
O 0.3353 0.2007 0.3642
O 0.3578 0.2000 0.9768
O 0.4424 0.2288 0.7143

---

# 6
This entry pairs a crystal structure of Li4Sb2C4SO16 with its theoretical X-ray powder pattern. Radiation: Cu Ka. Structure: a cell relaxed with GGA-PBE.
Kinematic intensities with the Lorentz-polarization factor, no thermal factor.

Top 10 peaks for 10 to 90 degrees two-theta, low angle first:
Position (°2θ)  d_spacing  I/Imax  h k l
10.72  8.255  34  0 1 0
10.99  8.049  100  1 0 -1
11.07  7.990  43  0 1 -1
20.10  4.418  50  1 0 -2
20.97  4.237  46  -2 1 1
22.07  4.028  59  2 1 -1
22.24  3.997  75  1 2 -2
23.81  3.737  49  0 0 2
25.23  3.529  44  2 -2 0
27.18  3.281  50  2 2 -2

Atomic structure:
Lattice parameters (Å, degrees): 9.5804 9.7020 9.8132 115.58 116.77 94.17
Space group P1 (No. 1)
Asymmetric unit:
Li 0.0000 0.0000 0.0000
Li 0.0068 0.6307 0.0224
Li 0.0278 0.0097 0.3911
Li 0.3741 0.8387 0.4852
Li 0.5792 0.5555 0.9143
Li 0.6068 0.9939 0.0279
Li 0.7203 0.1983 0.4442
Li 0.7336 0.8686 0.5171
Sb 0.1618 0.4191 0.2378
Sb 0.1659 0.4406 0.7482
Sb 0.1994 0.9207 0.7566
Sb 0.6829 0.4371 0.2688
C 0.0134 0.2032 0.8258
C 0.3754 0.6918 0.7067
C 0.3848 0.1758 0.1592
C 0.3903 0.6070 0.1689
C 0.3995 0.2335 0.8187
C 0.9175 0.6277 0.6868
C 0.9330 0.2398 0.3027
C 0.9734 0.6737 0.3166
S 0.5611 0.0576 0.5160
S 0.8067 0.8138 0.0215
O 0.0165 0.2175 0.9674
O 0.0309 0.3356 0.8197
O 0.0325 0.6193 0.8201
O 0.0616 0.2355 0.2895
O 0.0738 0.8183 0.4135
O 0.2478 0.0519 0.0200
O 0.2584 0.2333 0.7063
O 0.2592 0.6016 0.1800
O 0.3214 0.6983 0.5643
O 0.3711 0.3130 0.2478
O 0.3709 0.5633 0.0110
O 0.3769 0.9995 0.4147
O 0.3894 0.8211 0.8496
O 0.3970 0.1048 0.8384
O 0.4038 0.5708 0.7181
O 0.5283 0.1623 0.2003
O 0.5337 0.6495 0.3016
O 0.5362 0.3456 0.9122
O 0.6161 0.9905 0.6377
O 0.6261 0.9858 0.3949
O 0.6343 0.2354 0.6088
O 0.7320 0.8318 0.1298
O 0.7455 0.9034 0.9275
O 0.7681 0.6381 0.8998
O 0.8260 0.2923 0.2118
O 0.8332 0.4850 0.5306
O 0.8626 0.6421 0.3535
O 0.8948 0.7576 0.7032
O 0.9106 0.1915 0.3960
O 0.9768 0.5590 0.1860
O 0.9908 0.0662 0.7038
O 0.9931 0.8877 0.1383

---

# 7
This entry pairs a crystal structure of LiSbCSO7 with its theoretical X-ray powder pattern. Radiation: Cu Ka. Structure: a cell relaxed with GGA-PBE.
Kinematic intensities with the Lorentz-polarization factor, no thermal factor.

Top 10 peaks for 10 to 90 degrees two-theta, low angle first:
Position (°2θ)  d_spacing  I/Imax  h k l
10.01  8.837  100  0 0 1
16.51  5.368  45  0 1 1
18.30  4.848  64  1 0 -1
19.35  4.587  27  1 0 1
20.67  4.298  34  1 1 0
24.94  3.570  21  1 0 -2
26.38  3.379  52  0 2 0
26.50  3.363  28  1 0 2
28.28  3.156  19  0 2 1
32.30  2.772  17  1 2 -1

Atomic structure:
Lattice parameters (Å, degrees): 5.5806 6.7573 8.8540 90.00 93.51 90.00
Space group P2_1 (No. 4)
Asymmetric unit:
Li 0.2216 0.0000 0.2954
Sb 0.2940 0.7528 0.8579
C 0.2228 0.7514 0.5705
S 0.2279 0.2653 0.8978
O 0.0248 0.8250 0.1226
O 0.0466 0.7115 0.6626
O 0.1939 0.7888 0.4349
O 0.2859 0.0864 0.8089
O 0.2889 0.2330 0.0650
O 0.3899 0.4265 0.8430
O 0.4398 0.7538 0.6488

---

# 8
This entry pairs a crystal structure of Li3SiSbCO7 with its theoretical X-ray powder pattern. Radiation: Cu Ka. Structure: a cell relaxed with GGA-PBE.
Kinematic intensities with the Lorentz-polarization factor, no thermal factor.

Top 10 peaks for 10 to 90 degrees two-theta, low angle first:
Position (°2θ)  d_spacing  I/Imax  h k l
16.19  5.474  66  0 1 1
19.66  4.516  69  1 0 -1
20.67  4.296  46  1 0 1
21.88  4.062  73  1 1 0
25.93  3.436  100  0 2 0
27.24  3.274  49  1 0 2
29.59  3.019  37  0 0 3
35.65  2.518  27  2 0 0
36.23  2.480  25  1 1 -3
37.96  2.370  28  1 2 2

Atomic structure:
Lattice parameters (Å, degrees): 5.0450 6.8716 9.0725 90.00 93.35 90.00
Space group P2_1/m (No. 11)
Asymmetric unit:
Li 0.1669 0.2500 0.4198
Li 0.2238 0.5524 0.7829
Si 0.2695 0.2500 0.0950
Sb 0.2470 0.7500 0.1609
C 0.2915 0.7500 0.4794
O 0.0846 0.7500 0.3822
O 0.1454 0.2500 0.9189
O 0.1632 0.0635 0.1893
O 0.2352 0.7500 0.6169
O 0.4056 0.7500 0.9126
O 0.4708 0.2500 0.5632

---

# 9
This entry pairs a crystal structure of LiSiSbCO7 with its theoretical X-ray powder pattern. Radiation: Cu Ka. Structure: a cell relaxed with GGA-PBE.
Kinematic intensities with the Lorentz-polarization factor, no thermal factor.

Top 10 peaks for 10 to 90 degrees two-theta, low angle first:
Position (°2θ)  d_spacing  I/Imax  h k l
16.89  5.250  100  0 1 1
19.12  4.642  38  1 0 -1
20.27  4.382  59  1 0 1
21.92  4.054  51  1 1 0
25.29  3.522  43  1 0 -2
27.60  3.232  57  0 2 0
34.47  2.602  27  2 0 0
38.23  2.354  23  1 1 3
41.33  2.184  16  2 1 -2
56.08  1.640  15  1 3 3

Atomic structure:
Lattice parameters (Å, degrees): 5.2173 6.4640 9.0202 90.00 93.81 90.00
Space group P2_1 (No. 4)
Asymmetric unit:
Li 0.2295 0.0000 0.3007
Si 0.2754 0.7410 0.9297
Sb 0.2024 0.2366 0.8402
C 0.2762 0.2426 0.5669
O 0.0442 0.2451 0.6238
O 0.1449 0.7488 0.0902
O 0.1732 0.5432 0.8295
O 0.2015 0.9365 0.8217
O 0.3145 0.2163 0.4356
O 0.4113 0.2270 0.0294
O 0.4652 0.2656 0.6764